1.
Structure and simulated X-ray diffraction stick pattern of La5Tb3 (a structure optimized by DFT (GGA-PBE); copper Kα).

Principal peaks in the range 2θ = 5–70°, in order of rising 2θ:
2θ/deg  I_rel
29.8  100
34.4  34
35.0  16
49.4  12
49.9  24
58.8  29
59.6  14
62.0  12

abc: 5.130 5.213 10.435
angles: 90.00 90.00 90.00
Positions (direct):
La  0.000  0.000  0.000
La  0.000  0.000  0.500
La  0.000  0.500  0.247
La  0.000  0.500  0.753
La  0.500  0.500  0.500
Tb  0.500  0.000  0.247
Tb  0.500  0.000  0.753
Tb  0.500  0.500  0.000

2.
Structure and simulated X-ray diffraction stick pattern of NdThSeN (a structure optimized by DFT (GGA-PBE); copper Kα).

Principal peaks in the range 2θ = 5–70°, in order of rising 2θ:
2θ/deg  I_rel
27.2  14
28.3  53
32.1  100
34.8  32
39.6  15
44.7  24
47.4  39
58.4  18
63.4  23
65.6  14

abc: 7.177 7.177 7.177
angles: 30.98 30.98 30.98
Positions (direct):
Nd  0.000  0.000  0.000
Th  0.535  0.535  0.535
Se  0.768  0.768  0.768
N  0.260  0.260  0.260

3.
Structure and simulated X-ray diffraction stick pattern of Y4GeO10 (a structure optimized by DFT (GGA-PBE); copper Kα).

Principal peaks in the range 2θ = 5–70°, in order of rising 2θ:
2θ/deg  I_rel
18.1  41
25.2  53
26.9  60
27.7  100
27.9  31
28.1  43
31.0  49
31.5  33
31.7  38
36.9  27

abc: 5.731 6.549 6.888
angles: 93.39 109.66 111.21
Positions (direct):
Y  0.000  0.000  0.000
Y  0.096  0.888  0.517
Y  0.397  0.657  0.106
Y  0.688  0.206  0.420
Ge  0.659  0.376  0.914
O  0.077  0.538  0.554
O  0.198  0.804  0.847
O  0.282  0.901  0.271
O  0.461  0.287  0.077
O  0.486  0.205  0.661
O  0.666  0.648  0.918
O  0.672  0.558  0.400
O  0.805  0.980  0.246
O  0.900  0.056  0.668
O  0.978  0.362  0.033